Entry 1:
Calculated PXRD pattern
Compound: Li3ScF6
Radiation: copper Kα
Structure: a cell relaxed with PBE

Top 10 peaks for 2θ = 10–90°, in order of rising 2θ:
- 2θ = 20.0°, rel. 45
- 2θ = 21.7°, rel. 66
- 2θ = 29.7°, rel. 30
- 2θ = 36.0°, rel. 12
- 2θ = 39.8°, rel. 100
- 2θ = 42.7°, rel. 12
- 2θ = 46.5°, rel. 13
- 2θ = 52.0°, rel. 47
- 2θ = 62.7°, rel. 31
- 2θ = 66.5°, rel. 11

Atomic structure:
Unit cell a=8.8912 b=8.8912 c=9.6425 alpha=90.00 beta=90.00 gamma=120.00
Sites, in units of the cell vectors:
Li 0.0000 0.3016 0.2500
Li 0.0000 0.6984 0.7500
Li 0.0205 0.3599 0.9629
Li 0.0205 0.6607 0.4629
Li 0.3016 0.0000 0.2500
Li 0.3016 0.3016 0.7500
Li 0.3393 0.3599 0.4629
Li 0.3393 0.9795 0.9629
Li 0.3599 0.0205 0.5371
Li 0.3599 0.3393 0.0371
Li 0.6401 0.6607 0.9629
Li 0.6401 0.9795 0.4629
Li 0.6607 0.0205 0.0371
Li 0.6607 0.6401 0.5371
Li 0.6984 0.0000 0.7500
Li 0.6984 0.6984 0.2500
Li 0.9795 0.3393 0.5371
Li 0.9795 0.6401 0.0371
Sc 0.0000 0.0000 0.0000
Sc 0.0000 0.0000 0.5000
Sc 0.3333 0.6667 0.2350
Sc 0.3333 0.6667 0.7350
Sc 0.6667 0.3333 0.2650
Sc 0.6667 0.3333 0.7650
F 0.1082 0.2272 0.1068
F 0.1082 0.8810 0.6068
F 0.1117 0.5406 0.1177
F 0.1117 0.5711 0.6177
F 0.1190 0.2272 0.6068
F 0.1190 0.8918 0.1068
F 0.2164 0.4475 0.3542
F 0.2164 0.7689 0.8542
F 0.2272 0.1082 0.3932
F 0.2272 0.1190 0.8932
F 0.2311 0.4475 0.8542
F 0.2311 0.7836 0.3542
F 0.4289 0.5406 0.6177
F 0.4289 0.8883 0.1177
F 0.4475 0.2164 0.1458
F 0.4475 0.2311 0.6458
F 0.4594 0.5711 0.1177
F 0.4594 0.8883 0.6177
F 0.5406 0.1117 0.3823
F 0.5406 0.4289 0.8823
F 0.5525 0.7689 0.3542
F 0.5525 0.7836 0.8542
F 0.5711 0.1117 0.8823
F 0.5711 0.4594 0.3823
F 0.7689 0.2164 0.6458
F 0.7689 0.5525 0.1458
F 0.7728 0.8810 0.1068
F 0.7728 0.8918 0.6068
F 0.7836 0.2311 0.1458
F 0.7836 0.5525 0.6458
F 0.8810 0.1082 0.8932
F 0.8810 0.7728 0.3932
F 0.8883 0.4289 0.3823
F 0.8883 0.4594 0.8823
F 0.8918 0.1190 0.3932
F 0.8918 0.7728 0.8932

=====

Entry 2:
Calculated PXRD pattern
Compound: Nd3Co2Ag
Radiation: copper Kα
Structure: a cell relaxed with PBE

Top 10 peaks for 2θ = 10–90°, in order of rising 2θ:
- 2θ = 28.9°, rel. 81
- 2θ = 29.0°, rel. 60
- 2θ = 29.6°, rel. 49
- 2θ = 31.3°, rel. 33
- 2θ = 33.0°, rel. 100
- 2θ = 34.2°, rel. 83
- 2θ = 35.8°, rel. 60
- 2θ = 46.4°, rel. 43
- 2θ = 52.4°, rel. 37
- 2θ = 61.2°, rel. 36

Atomic structure:
Unit cell a=3.9131 b=10.1067 c=7.5180 alpha=90.00 beta=90.00 gamma=90.00
Sites, in units of the cell vectors:
Nd 0.0000 0.0502 0.0000
Nd 0.0000 0.9498 0.5000
Nd 0.5000 0.2740 0.3819
Nd 0.5000 0.3527 0.8830
Nd 0.5000 0.6473 0.3830
Nd 0.5000 0.7260 0.8819
Co 0.0000 0.2167 0.6601
Co 0.0000 0.7833 0.1601
Co 0.5000 0.1059 0.7038
Co 0.5000 0.8941 0.2038
Ag 0.0000 0.4936 0.6267
Ag 0.0000 0.5064 0.1267

=====

Entry 3:
Calculated PXRD pattern
Compound: ZnCu6Pt3
Radiation: copper Kα
Structure: a cell relaxed with PBE

Top 10 peaks for 2θ = 10–90°, in order of rising 2θ:
- 2θ = 19.5°, rel. 42
- 2θ = 22.6°, rel. 100
- 2θ = 30.0°, rel. 23
- 2θ = 38.0°, rel. 19
- 2θ = 39.7°, rel. 26
- 2θ = 43.1°, rel. 42
- 2θ = 44.6°, rel. 42
- 2θ = 46.1°, rel. 69
- 2θ = 50.6°, rel. 26
- 2θ = 66.1°, rel. 16

Atomic structure:
Unit cell a=9.1250 b=9.1250 c=9.1250 alpha=119.16 beta=119.16 gamma=119.16
Sites, in units of the cell vectors:
Zn 0.0000 0.0000 0.0000
Cu 0.2383 0.2383 0.9679
Cu 0.2383 0.9679 0.2383
Cu 0.4579 0.4579 0.7022
Cu 0.4579 0.7022 0.4579
Cu 0.7022 0.4579 0.4579
Cu 0.9679 0.2383 0.2383
Pt 0.3357 0.8489 0.8489
Pt 0.8489 0.3357 0.8489
Pt 0.8489 0.8489 0.3357

=====

Entry 4:
Calculated PXRD pattern
Compound: Ac5Tb2Pr
Radiation: copper Kα
Structure: a cell relaxed with PBE

Top 10 peaks for 2θ = 10–90°, in order of rising 2θ:
- 2θ = 28.4°, rel. 100
- 2θ = 32.7°, rel. 17
- 2θ = 33.0°, rel. 34
- 2θ = 47.2°, rel. 25
- 2θ = 47.4°, rel. 13
- 2θ = 55.8°, rel. 16
- 2θ = 56.2°, rel. 30
- 2θ = 58.8°, rel. 13
- 2θ = 76.2°, rel. 13
- 2θ = 88.1°, rel. 9

Atomic structure:
Unit cell a=7.6720 b=15.3386 c=5.4696 alpha=90.00 beta=90.00 gamma=90.00
Sites, in units of the cell vectors:
Ac 0.0000 0.0000 0.0000
Ac 0.0062 0.2524 0.0000
Ac 0.2442 0.6225 0.5000
Ac 0.2558 0.1225 0.5000
Ac 0.4938 0.7524 0.0000
Ac 0.5000 0.5000 0.0000
Ac 0.5062 0.2476 0.0000
Ac 0.7442 0.8775 0.5000
Ac 0.7558 0.3775 0.5000
Ac 0.9938 0.7476 0.0000
Tb 0.2466 0.8759 0.5000
Tb 0.2534 0.3759 0.5000
Tb 0.7466 0.6241 0.5000
Tb 0.7534 0.1241 0.5000
Pr 0.0000 0.5000 0.0000
Pr 0.5000 0.0000 0.0000

=====

Entry 5:
Calculated PXRD pattern
Compound: ErZr3Co2
Radiation: copper Kα
Structure: a cell relaxed with PBE

Top 10 peaks for 2θ = 10–90°, in order of rising 2θ:
- 2θ = 31.4°, rel. 37
- 2θ = 34.9°, rel. 17
- 2θ = 35.5°, rel. 100
- 2θ = 35.8°, rel. 67
- 2θ = 36.8°, rel. 21
- 2θ = 38.2°, rel. 54
- 2θ = 48.4°, rel. 16
- 2θ = 54.1°, rel. 14
- 2θ = 63.3°, rel. 18
- 2θ = 67.2°, rel. 15

Atomic structure:
Unit cell a=7.8641 b=7.8641 c=7.5399 alpha=115.52 beta=115.52 gamma=34.91
Sites, in units of the cell vectors:
Er 0.1399 0.1399 0.2194
Er 0.8601 0.8601 0.7806
Zr 0.0597 0.0597 0.7243
Zr 0.3064 0.3064 0.0123
Zr 0.3904 0.3904 0.4998
Zr 0.6096 0.6096 0.5002
Zr 0.6936 0.6936 0.9877
Zr 0.9403 0.9403 0.2757
Co 0.2047 0.2047 0.6293
Co 0.4872 0.4872 0.1372
Co 0.5128 0.5128 0.8628
Co 0.7953 0.7953 0.3707

=====

Entry 6:
Calculated PXRD pattern
Compound: SrBe2PH2
Radiation: copper Kα
Structure: a cell relaxed with PBE

Top 10 peaks for 2θ = 10–90°, in order of rising 2θ:
- 2θ = 16.1°, rel. 35
- 2θ = 25.1°, rel. 45
- 2θ = 25.5°, rel. 24
- 2θ = 25.9°, rel. 100
- 2θ = 31.3°, rel. 24
- 2θ = 33.8°, rel. 23
- 2θ = 36.3°, rel. 20
- 2θ = 38.5°, rel. 22
- 2θ = 44.9°, rel. 17
- 2θ = 48.0°, rel. 18

Atomic structure:
Unit cell a=6.3578 b=4.4097 c=6.6559 alpha=90.00 beta=115.98 gamma=90.00
Sites, in units of the cell vectors:
Sr 0.1996 0.2500 0.3078
Sr 0.8004 0.7500 0.6922
Be 0.3741 0.5026 0.8126
Be 0.3741 0.9974 0.8126
Be 0.6259 0.0026 0.1874
Be 0.6259 0.4974 0.1874
P 0.2988 0.7500 0.0541
P 0.7012 0.2500 0.9459
H 0.1961 0.2500 0.6834
H 0.3631 0.7500 0.6354
H 0.6369 0.2500 0.3646
H 0.8039 0.7500 0.3166

=====

Entry 7:
Calculated PXRD pattern
Compound: Zr2TiPd2
Radiation: copper Kα
Structure: a cell relaxed with PBE

Top 10 peaks for 2θ = 10–90°, in order of rising 2θ:
- 2θ = 34.5°, rel. 75
- 2θ = 36.2°, rel. 100
- 2θ = 39.9°, rel. 80
- 2θ = 40.7°, rel. 41
- 2θ = 41.1°, rel. 34
- 2θ = 50.2°, rel. 23
- 2θ = 52.8°, rel. 22
- 2θ = 54.1°, rel. 28
- 2θ = 65.8°, rel. 22
- 2θ = 66.6°, rel. 36

Atomic structure:
Unit cell a=5.7080 b=5.7080 c=5.7080 alpha=145.44 beta=111.19 gamma=79.34
Sites, in units of the cell vectors:
Zr 0.2138 0.2138 0.0000
Zr 0.7862 0.7862 0.0000
Ti 0.5000 0.0000 0.5000
Pd 0.2090 0.5000 0.7090
Pd 0.7910 0.5000 0.2910

=====

Entry 8:
Calculated PXRD pattern
Compound: CsRbAl2Cl8
Radiation: copper Kα
Structure: a cell relaxed with PBE

Top 10 peaks for 2θ = 10–90°, in order of rising 2θ:
- 2θ = 18.8°, rel. 100
- 2θ = 25.5°, rel. 45
- 2θ = 27.0°, rel. 54
- 2θ = 28.0°, rel. 39
- 2θ = 30.1°, rel. 21
- 2θ = 31.2°, rel. 86
- 2θ = 31.9°, rel. 20
- 2θ = 41.2°, rel. 23
- 2θ = 44.6°, rel. 35
- 2θ = 44.9°, rel. 29

Atomic structure:
Unit cell a=10.7705 b=10.7705 c=10.7705 alpha=37.91 beta=37.91 gamma=37.91
Sites, in units of the cell vectors:
Cs 0.0000 0.0000 0.0000
Rb 0.5000 0.5000 0.5000
Al 0.2555 0.2555 0.2555
Al 0.7445 0.7445 0.7445
Cl 0.0229 0.4497 0.8317
Cl 0.1683 0.9771 0.5503
Cl 0.3276 0.3276 0.3276
Cl 0.4497 0.8317 0.0229
Cl 0.5503 0.1683 0.9771
Cl 0.6724 0.6724 0.6724
Cl 0.8317 0.0229 0.4497
Cl 0.9771 0.5503 0.1683

=====

Entry 9:
Calculated PXRD pattern
Compound: LiRuRh4
Radiation: copper Kα
Structure: a cell relaxed with PBE

Top 10 peaks for 2θ = 10–90°, in order of rising 2θ:
- 2θ = 21.4°, rel. 51
- 2θ = 24.8°, rel. 11
- 2θ = 35.4°, rel. 11
- 2θ = 41.7°, rel. 100
- 2θ = 43.7°, rel. 63
- 2θ = 50.9°, rel. 16
- 2θ = 55.8°, rel. 11
- 2θ = 67.8°, rel. 31
- 2θ = 74.8°, rel. 28
- 2θ = 89.5°, rel. 11

Atomic structure:
Unit cell a=5.0753 b=5.0753 c=5.0753 alpha=60.00 beta=60.00 gamma=60.00
Sites, in units of the cell vectors:
Li 0.0000 0.0000 0.0000
Ru 0.2500 0.2500 0.2500
Rh 0.1246 0.6251 0.6251
Rh 0.6251 0.1246 0.6251
Rh 0.6251 0.6251 0.1246
Rh 0.6251 0.6251 0.6251

=====

Entry 10:
Calculated PXRD pattern
Compound: KCd9Au3
Radiation: copper Kα
Structure: a cell relaxed with PBE

Top 10 peaks for 2θ = 10–90°, in order of rising 2θ:
- 2θ = 17.5°, rel. 94
- 2θ = 35.4°, rel. 100
- 2θ = 35.6°, rel. 88
- 2θ = 36.0°, rel. 27
- 2θ = 36.4°, rel. 59
- 2θ = 39.3°, rel. 72
- 2θ = 39.4°, rel. 43
- 2θ = 40.2°, rel. 48
- 2θ = 40.5°, rel. 72
- 2θ = 40.8°, rel. 39

Atomic structure:
Unit cell a=7.6331 b=7.6331 c=7.7284 alpha=97.31 beta=97.31 gamma=135.87
Sites, in units of the cell vectors:
K 0.0000 0.0000 0.0000
Cd 0.0000 0.0000 0.5000
Cd 0.0080 0.6516 0.6561
Cd 0.2908 0.5081 0.7868
Cd 0.3484 0.9920 0.3439
Cd 0.4919 0.7092 0.2132
Cd 0.5081 0.2908 0.7868
Cd 0.6516 0.0080 0.6561
Cd 0.7092 0.4919 0.2132
Cd 0.9920 0.3484 0.3439
Au 0.0000 0.5000 0.0000
Au 0.5000 0.0000 0.0000
Au 0.5000 0.5000 0.5000

=====

Entry 11:
Calculated PXRD pattern
Compound: MgTl6C2O6F2
Radiation: copper Kα
Structure: a cell relaxed with PBE

Top 10 peaks for 2θ = 10–90°, in order of rising 2θ:
- 2θ = 18.1°, rel. 50
- 2θ = 22.4°, rel. 45
- 2θ = 24.5°, rel. 68
- 2θ = 25.8°, rel. 29
- 2θ = 26.5°, rel. 100
- 2θ = 27.0°, rel. 60
- 2θ = 28.7°, rel. 29
- 2θ = 29.7°, rel. 58
- 2θ = 32.0°, rel. 22
- 2θ = 50.7°, rel. 23

Atomic structure:
Unit cell a=6.0431 b=7.7463 c=8.4477 alpha=105.12 beta=91.67 gamma=94.48
Sites, in units of the cell vectors:
Mg 0.0000 0.0000 0.0000
Tl 0.3731 0.0435 0.6944
Tl 0.4188 0.7448 0.9391
Tl 0.4199 0.4710 0.2879
Tl 0.8353 0.1754 0.4450
Tl 0.8853 0.4375 0.9568
Tl 0.9214 0.6887 0.6453
C 0.0209 0.8144 0.2899
C 0.2894 0.4234 0.6262
O 0.0117 0.8792 0.4483
O 0.0908 0.6602 0.2265
O 0.2534 0.3892 0.7666
O 0.2623 0.2953 0.4903
O 0.3533 0.5870 0.6204
O 0.9519 0.9132 0.1969
F 0.1207 0.2428 0.0898
F 0.7195 0.0384 0.9130

=====

Entry 12:
Calculated PXRD pattern
Compound: SbRu3
Radiation: copper Kα
Structure: a cell relaxed with PBE

Top 10 peaks for 2θ = 10–90°, in order of rising 2θ:
- 2θ = 32.8°, rel. 11
- 2θ = 38.8°, rel. 95
- 2θ = 40.2°, rel. 100
- 2θ = 41.7°, rel. 34
- 2θ = 44.6°, rel. 37
- 2θ = 51.1°, rel. 22
- 2θ = 62.6°, rel. 20
- 2θ = 70.1°, rel. 17
- 2θ = 78.2°, rel. 11
- 2θ = 79.1°, rel. 13

Atomic structure:
Unit cell a=2.8809 b=4.0672 c=5.4867 alpha=90.00 beta=101.01 gamma=90.00
Sites, in units of the cell vectors:
Sb 0.0000 0.0000 0.0000
Ru 0.0000 0.0000 0.5000
Ru 0.4005 0.5000 0.2619
Ru 0.5995 0.5000 0.7381